Structure and simulated powder XRD pattern of Er2TlP (a structure optimized by DFT (GGA-PBE); Cu Ka).
Lines closer than 0.1° are merged.

Atomic structure:
Lattice parameters (Å, degrees): 3.8393 3.8393 24.2600 90.00 90.00 120.00
Space group R3m (No. 160, hexagonal axes)
Unique sites:
Er  0.0000  0.0000  0.0000 [3 per cell]
Er  0.0000  0.0000  0.2022 [3 per cell]
Tl  0.0000  0.0000  0.7675 [3 per cell]
P  0.0000  0.0000  0.6001 [3 per cell]

Largest 12 diffraction maxima, in order of falling intensity, 5° ≤ 2θ ≤ 70°:
- 2θ 32.65, rel. 100
- 2θ 30.66, rel. 71
- 2θ 47.36, rel. 46
- 2θ 27.07, rel. 32
- 2θ 59.08, rel. 31
- 2θ 33.24, rel. 26
- 2θ 37.48, rel. 22
- 2θ 27.82, rel. 19
- 2θ 58.71, rel. 19
- 2θ 46.33, rel. 15
- 2θ 57.48, rel. 12
- 2θ 60.22, rel. 11